# 1
Theoretical powder XRD pattern
Compound: Ti3NbCu3O12
Radiation: Cu Kα, 1.54184 Å
Structure: a DFT-relaxed cell (GGA-PBE, Alexandria)
Peak positions follow from Bragg's law for the DFT cell and can differ from measured ones.

Top 10 peaks for 2θ from 10° to 90°, by angle:
2θ (°)	I/Imax
16.88	59
29.32	36
33.90	100
34.15	99
48.88	54
60.66	26
60.82	51
61.29	25
81.51	16
81.93	16

Structure:
a b c (Å): 6.4697 6.4697 6.4697
angles (deg): 109.66 109.66 109.66
Fractional coordinates of all 19 atoms:
Ti 0.0000 0.5000 0.5000
Ti 0.5000 0.0000 0.5000
Ti 0.5000 0.5000 0.0000
Nb 0.0000 0.0000 0.0000
Cu 0.0000 0.0000 0.5000
Cu 0.0000 0.5000 0.0000
Cu 0.5000 0.0000 0.0000
O 0.0088 0.1880 0.3248
O 0.1866 0.6800 0.3662
O 0.1880 0.3248 0.0088
O 0.3200 0.6338 0.8134
O 0.3248 0.0088 0.1880
O 0.3662 0.1866 0.6800
O 0.6338 0.8134 0.3200
O 0.6752 0.9912 0.8120
O 0.6800 0.3662 0.1866
O 0.8120 0.6752 0.9912
O 0.8134 0.3200 0.6338
O 0.9912 0.8120 0.6752

***

# 2
Theoretical powder XRD pattern
Compound: Nb2Cu2Os
Radiation: Cu Kα, 1.54184 Å
Structure: a DFT-relaxed cell (GGA-PBE, Alexandria)
Peak positions follow from Bragg's law for the DFT cell and can differ from measured ones.

Top 10 peaks for 2θ from 10° to 90°, by angle:
2θ (°)	I/Imax
18.75	14
32.85	27
38.07	100
40.49	71
42.72	64
51.11	20
55.06	18
65.45	15
72.10	27
78.27	19

Structure:
a b c (Å): 6.6928 6.6928 3.3359
angles (deg): 90.00 90.00 90.00
Fractional coordinates of all 10 atoms:
Nb 0.1780 0.3220 0.0000
Nb 0.3220 0.8220 0.0000
Nb 0.6780 0.1780 0.0000
Nb 0.8220 0.6780 0.0000
Cu 0.1240 0.6240 0.5000
Cu 0.3760 0.1240 0.5000
Cu 0.6240 0.8760 0.5000
Cu 0.8760 0.3760 0.5000
Os 0.0000 0.0000 0.5000
Os 0.5000 0.5000 0.5000